[1]
Calculated powder diffractogram of CsRb2Hg7Au2 for Cu Kα (weighted mean of Kα1 and Kα2), from DFT lattice parameters and positions (GGA-PBE).
Peak positions follow from Bragg's law for the DFT cell and can differ from measured ones.

Peak list (10 most intense, 2θ = 15–90°, sorted by position)
2θ/deg	I_rel
15.8	61
22.1	19
27.8	100
29.7	24
31.8	56
32.9	57
33.2	39
39.4	23
43.8	20
49.0	20

Structure:
```
data_CsRb2Hg7Au2
_chemical_formula_sum 'Cs1 Rb2 Hg7 Au2'
_cell_length_a 5.6554
_cell_length_b 5.6554
_cell_length_c 13.7502
_cell_angle_alpha 95.89
_cell_angle_beta 95.89
_cell_angle_gamma 90.87
_space_group_name_H-M_alt 'P 1'
_space_group_IT_number 1
_space_group_name_Hall 'P 1'
loop_
_atom_site_label
_atom_site_fract_x
_atom_site_fract_y
_atom_site_fract_z
Cs1 0.0000 0.0000 0.0000
Rb1 0.0984 0.0984 0.3631
Rb2 0.9016 0.9016 0.6369
Hg1 0.0724 0.4567 0.8078
Hg2 0.3984 0.3984 0.5970
Hg3 0.4567 0.0724 0.8078
Hg4 0.5000 0.5000 0.0000
Hg5 0.5433 0.9276 0.1922
Hg6 0.6016 0.6016 0.4030
Hg7 0.9276 0.5433 0.1922
Au1 0.4133 0.4133 0.2001
Au2 0.5867 0.5867 0.7999
```

---

[2]
Calculated powder diffractogram of DyIn2TeO8 for Cu Kα (weighted mean of Kα1 and Kα2), from DFT lattice parameters and positions (GGA-PBE).
Peak positions follow from Bragg's law for the DFT cell and can differ from measured ones.

Peak list (10 most intense, 2θ = 15–90°, sorted by position)
2θ/deg	I_rel
25.6	59
25.9	56
32.1	100
36.7	28
49.4	40
49.8	38
60.8	10
63.2	23
67.2	11
88.9	9

Structure:
```
data_DyIn2TeO8
_chemical_formula_sum 'Dy1 In2 Te1 O8'
_cell_length_a 4.8956
_cell_length_b 6.7788
_cell_length_c 4.8972
_cell_angle_alpha 90.00
_cell_angle_beta 90.73
_cell_angle_gamma 90.00
_space_group_name_H-M_alt 'P 1'
_space_group_IT_number 1
_space_group_name_Hall 'P 1'
loop_
_atom_site_label
_atom_site_fract_x
_atom_site_fract_y
_atom_site_fract_z
Dy1 0.0000 0.0000 0.0000
In1 0.5000 0.2581 0.5000
In2 0.5000 0.7419 0.5000
Te1 0.0000 0.5000 0.0000
O1 0.1846 0.2839 0.8146
O2 0.1846 0.7161 0.8146
O3 0.2869 0.5000 0.2860
O4 0.3180 0.0000 0.3162
O5 0.6820 0.0000 0.6838
O6 0.7131 0.5000 0.7140
O7 0.8154 0.2839 0.1854
O8 0.8154 0.7161 0.1854
```

---

[3]
Calculated powder diffractogram of Pm4Se3S for Cu Kα (weighted mean of Kα1 and Kα2), from DFT lattice parameters and positions (GGA-PBE).
Peak positions follow from Bragg's law for the DFT cell and can differ from measured ones.

Peak list (10 most intense, 2θ = 15–90°, sorted by position)
2θ/deg	I_rel
26.1	12
26.4	13
30.4	100
43.1	12
43.5	48
43.9	12
53.7	12
54.3	13
71.7	20
80.4	8

Structure:
```
data_Pm4Se3S
_chemical_formula_sum 'Pm4 Se3 S1'
_cell_length_a 7.2315
_cell_length_b 7.2315
_cell_length_c 4.1227
_cell_angle_alpha 90.00
_cell_angle_beta 90.00
_cell_angle_gamma 109.11
_space_group_name_H-M_alt 'P 1'
_space_group_IT_number 1
_space_group_name_Hall 'P 1'
loop_
_atom_site_label
_atom_site_fract_x
_atom_site_fract_y
_atom_site_fract_z
Pm1 0.2312 0.2312 0.5000
Pm2 0.2392 0.7608 0.0000
Pm3 0.7608 0.2392 0.0000
Pm4 0.7688 0.7688 0.5000
Se1 0.0000 0.5000 0.5000
Se2 0.5000 0.0000 0.5000
Se3 0.5000 0.5000 0.0000
S1 0.0000 0.0000 0.0000
```

---

[4]
Calculated powder diffractogram of PrSm4DyTm2 for Cu Kα (weighted mean of Kα1 and Kα2), from DFT lattice parameters and positions (GGA-PBE).
Peak positions follow from Bragg's law for the DFT cell and can differ from measured ones.

Peak list (10 most intense, 2θ = 15–90°, sorted by position)
2θ/deg	I_rel
26.9	45
30.2	100
40.8	88
53.6	20
60.9	27
62.7	12
64.3	23
69.5	18
80.7	12
88.5	10

Structure:
```
data_PrSm4DyTm2
_chemical_formula_sum 'Pr2 Sm8 Dy2 Tm4'
_cell_length_a 9.5318
_cell_length_b 9.5318
_cell_length_c 6.8436
_cell_angle_alpha 111.02
_cell_angle_beta 111.02
_cell_angle_gamma 88.29
_space_group_name_H-M_alt 'P 1'
_space_group_IT_number 1
_space_group_name_Hall 'P 1'
loop_
_atom_site_label
_atom_site_fract_x
_atom_site_fract_y
_atom_site_fract_z
Pr1 0.0000 0.5000 0.0000
Pr2 0.5000 0.0000 0.5000
Sm1 0.2451 0.2523 0.4937
Sm2 0.2482 0.7523 0.0000
Sm3 0.2477 0.7518 0.5000
Sm4 0.2523 0.2451 0.9937
Sm5 0.7477 0.7549 0.0063
Sm6 0.7518 0.2477 0.0000
Sm7 0.7523 0.2482 0.5000
Sm8 0.7549 0.7477 0.5063
Dy1 0.5000 0.5000 0.0000
Dy2 0.5000 0.5000 0.5000
Tm1 0.0000 0.0000 0.0000
Tm2 0.0000 0.0000 0.5000
Tm3 0.0000 0.5000 0.5000
Tm4 0.5000 0.0000 0.0000
```

---

[5]
Calculated powder diffractogram of Hf3N4 for Cu Kα (weighted mean of Kα1 and Kα2), from DFT lattice parameters and positions (GGA-PBE).
Peak positions follow from Bragg's law for the DFT cell and can differ from measured ones.

Peak list (10 most intense, 2θ = 15–90°, sorted by position)
2θ/deg	I_rel
32.7	100
37.9	10
42.6	45
50.9	26
54.7	2
61.8	25
65.2	16
68.5	5
71.7	23
77.9	6

Structure:
```
data_Hf3N4
_chemical_formula_sum 'Hf6 N8'
_cell_length_a 5.8147
_cell_length_b 5.8147
_cell_length_c 5.8147
_cell_angle_alpha 109.47
_cell_angle_beta 109.47
_cell_angle_gamma 109.47
_space_group_name_H-M_alt 'P 1'
_space_group_IT_number 1
_space_group_name_Hall 'P 1'
loop_
_atom_site_label
_atom_site_fract_x
_atom_site_fract_y
_atom_site_fract_z
Hf1 0.1250 0.8750 0.2500
Hf2 0.2500 0.1250 0.8750
Hf3 0.3750 0.6250 0.7500
Hf4 0.6250 0.7500 0.3750
Hf5 0.7500 0.3750 0.6250
Hf6 0.8750 0.2500 0.1250
N1 0.0000 0.1337 0.5000
N2 0.0000 0.6337 0.5000
N3 0.1337 0.5000 0.0000
N4 0.3663 0.3663 0.3663
N5 0.5000 0.0000 0.1337
N6 0.5000 0.0000 0.6337
N7 0.6337 0.5000 0.0000
N8 0.8663 0.8663 0.8663
```

---

[6]
Calculated powder diffractogram of Pu2FeSi6Pt for Cu Kα (weighted mean of Kα1 and Kα2), from DFT lattice parameters and positions (GGA-PBE).
Peak positions follow from Bragg's law for the DFT cell and can differ from measured ones.

Peak list (10 most intense, 2θ = 15–90°, sorted by position)
2θ/deg	I_rel
21.5	16
24.6	93
30.9	100
34.3	18
36.6	40
39.9	55
48.6	19
51.3	31
54.9	19
64.4	19

Structure:
```
data_Pu2FeSi6Pt
_chemical_formula_sum 'Pu4 Fe2 Si12 Pt2'
_cell_length_a 12.6427
_cell_length_b 12.6427
_cell_length_c 12.6427
_cell_angle_alpha 26.48
_cell_angle_beta 26.48
_cell_angle_gamma 26.48
_space_group_name_H-M_alt 'P 1'
_space_group_IT_number 1
_space_group_name_Hall 'P 1'
loop_
_atom_site_label
_atom_site_fract_x
_atom_site_fract_y
_atom_site_fract_z
Pu1 0.1225 0.1225 0.1225
Pu2 0.2815 0.2815 0.2815
Pu3 0.7185 0.7185 0.7185
Pu4 0.8775 0.8775 0.8775
Fe1 0.0000 0.0000 0.0000
Fe2 0.5000 0.5000 0.5000
Si1 0.0719 0.6645 0.6645
Si2 0.1910 0.1910 0.7668
Si3 0.1910 0.7668 0.1910
Si4 0.2332 0.8090 0.8090
Si5 0.3355 0.3355 0.9281
Si6 0.3355 0.9281 0.3355
Si7 0.6645 0.0719 0.6645
Si8 0.6645 0.6645 0.0719
Si9 0.7668 0.1910 0.1910
Si10 0.8090 0.2332 0.8090
Si11 0.8090 0.8090 0.2332
Si12 0.9281 0.3355 0.3355
Pt1 0.4232 0.4232 0.4232
Pt2 0.5768 0.5768 0.5768
```

---

[7]
Calculated powder diffractogram of LaPbAu4 for Cu Kα (weighted mean of Kα1 and Kα2), from DFT lattice parameters and positions (GGA-PBE).
Peak positions follow from Bragg's law for the DFT cell and can differ from measured ones.

Peak list (10 most intense, 2θ = 15–90°, sorted by position)
2θ/deg	I_rel
22.3	35
28.6	50
34.0	100
34.2	43
35.8	47
38.8	31
42.5	28
42.6	30
45.6	35
68.4	24

Structure:
```
data_LaPbAu4
_chemical_formula_sum 'La4 Pb4 Au16'
_cell_length_a 10.7676
_cell_length_b 13.9191
_cell_length_c 3.9796
_cell_angle_alpha 90.00
_cell_angle_beta 90.00
_cell_angle_gamma 90.00
_space_group_name_H-M_alt 'P 1'
_space_group_IT_number 1
_space_group_name_Hall 'P 1'
loop_
_atom_site_label
_atom_site_fract_x
_atom_site_fract_y
_atom_site_fract_z
La1 0.1189 0.1198 0.0000
La2 0.3811 0.6198 0.0000
La3 0.6189 0.3802 0.0000
La4 0.8811 0.8802 0.0000
Pb1 0.1137 0.4109 0.0000
Pb2 0.3863 0.9109 0.0000
Pb3 0.6137 0.0891 0.0000
Pb4 0.8863 0.5891 0.0000
Au1 0.0134 0.7364 0.5000
Au2 0.1083 0.9383 0.5000
Au3 0.1653 0.5696 0.5000
Au4 0.2418 0.2708 0.5000
Au5 0.2582 0.7708 0.5000
Au6 0.3347 0.0696 0.5000
Au7 0.3917 0.4383 0.5000
Au8 0.4866 0.2364 0.5000
Au9 0.5134 0.7636 0.5000
Au10 0.6083 0.5617 0.5000
Au11 0.6653 0.9304 0.5000
Au12 0.7418 0.2292 0.5000
Au13 0.7582 0.7292 0.5000
Au14 0.8347 0.4304 0.5000
Au15 0.8917 0.0617 0.5000
Au16 0.9866 0.2636 0.5000
```